# 1
Calculated powder X-ray diffraction pattern
Compound: V4ZnCu3O14
Radiation: Cu Kα X-rays
Structure: a crystal structure in the Materials Project, relaxed with PBE+U
Kinematic intensities with the Lorentz-polarization factor, no thermal factor.

Peak list (12 most intense, 2θ = 15–90°, low angle first)
- hkl 0 1 0, 2θ 16.19, I = 153
- hkl 1 0 0, 2θ 16.31, I = 154
- hkl 1 0 1, 2θ 20.69, I = 110
- hkl 1 1 0, 2θ 24.28, I = 1000
- hkl 0 1 2, 2θ 27.73, I = 193
- hkl 0 1 -3, 2θ 28.45, I = 281
- hkl 1 -1 2, 2θ 28.65, I = 626
- hkl -1 1 2, 2θ 28.85, I = 366
- hkl 0 2 -2, 2θ 33.20, I = 112
- hkl 0 2 2, 2θ 42.08, I = 184
- hkl 1 2 2, 2θ 48.54, I = 124
- hkl 1 -2 5, 2θ 56.23, I = 117

Atomic structure:
Unit cell a=5.6174 b=5.6749 c=10.1975 alpha=104.05 beta=103.29 gamma=92.57
Space group P1 (No. 1)
Unique sites:
V 0.0000 0.0000 0.0000
V 0.0061 0.9112 0.5741
V 0.4627 0.4532 0.0781
V 0.5533 0.4516 0.4983
Zn 0.4162 0.7134 0.8087
Cu 0.2452 0.8330 0.3020
Cu 0.6251 0.2190 0.7739
Cu 0.7722 0.0765 0.2750
O 0.0207 0.9752 0.4135
O 0.1556 0.2995 0.0371
O 0.1606 0.7967 0.9180
O 0.2936 0.9285 0.6808
O 0.3521 0.6163 0.4169
O 0.4684 0.7421 0.1847
O 0.4818 0.4322 0.6566
O 0.5376 0.4642 0.9210
O 0.5462 0.1649 0.3894
O 0.6629 0.2894 0.1603
O 0.7061 0.9834 0.8882
O 0.8425 0.1105 0.6589
O 0.8572 0.6062 0.5390
O 0.9919 0.9346 0.1597

---

# 2
Calculated powder X-ray diffraction pattern
Compound: V4Zn3Cu3O22
Radiation: Cu Kα X-rays
Structure: a crystal structure in the Materials Project, relaxed with PBE+U
Kinematic intensities with the Lorentz-polarization factor, no thermal factor.

Peak list (12 most intense, 2θ = 15–90°, low angle first)
- hkl 1 0 -2, 2θ 21.10, I = 599
- hkl 0 1 4, 2θ 29.81, I = 694
- hkl 1 0 4, 2θ 29.94, I = 1000
- hkl 1 1 -4, 2θ 30.11, I = 459
- hkl 0 2 0, 2θ 34.67, I = 390
- hkl 2 0 0, 2θ 34.92, I = 388
- hkl 2 2 0, 2θ 35.08, I = 370
- hkl 0 2 2, 2θ 36.76, I = 367
- hkl 2 0 2, 2θ 37.05, I = 450
- hkl 2 2 -2, 2θ 37.33, I = 351
- hkl 2 -2 0, 2θ 62.18, I = 318
- hkl 2 4 0, 2θ 62.53, I = 313

Atomic structure:
Unit cell a=5.9036 b=5.9446 c=14.6654 alpha=89.50 beta=89.63 gamma=60.51
Space group P-1 (No. 2)
Unique sites:
V 0.0010 0.4952 0.3718
V 0.0036 0.4972 0.8733
Zn 0.0000 0.0000 0.0000
Zn 0.0000 0.0000 0.5000
Zn 0.5000 0.0000 0.5000
Cu 0.5000 0.0000 0.0000
Cu 0.5000 0.5000 0.0000
Cu 0.5000 0.5000 0.5000
O 0.0011 0.4990 0.7512
O 0.1588 0.1825 0.4121
O 0.1601 0.6555 0.9145
O 0.1616 0.6498 0.4145
O 0.1636 0.1835 0.9158
O 0.3145 0.3463 0.0831
O 0.3156 0.3530 0.5841
O 0.3322 0.8334 0.7639
O 0.3346 0.8358 0.2671
O 0.3421 0.8139 0.5560
O 0.3512 0.8222 0.0533